Structure and theoretical powder diffractogram of GaAg9 (a structure optimized by DFT (PBE); Cu Kα X-rays).
Kinematic intensities with the Lorentz-polarization factor, no thermal factor.

Principal peaks in the range 2θ from 5° to 70°, sorted by position:
2θ/deg  Rel. int.
8.10  9
35.97  22
37.69  100
42.43  13
43.50  20
43.94  25
61.57  3
62.38  8
63.54  16
63.88  9

Atomic structure:
```
20
Lattice="2.9160 0.0000 0.0000 0.0000 4.1623 0.0000 0.0000 0.0000 43.6811" Properties=species:S:1:pos:R:3 pbc="T T T"
Ga 0.7290 1.0406 7.8741
Ga 2.1870 3.1217 35.8070
Ag 0.7290 1.0406 10.7348
Ag 0.7290 1.0406 13.6918
Ag 0.7290 1.0406 16.6620
Ag 0.7290 1.0406 19.6211
Ag 0.7290 1.0406 22.5765
Ag 0.7290 1.0406 25.5322
Ag 0.7290 1.0406 28.5004
Ag 0.7290 1.0406 31.4799
Ag 0.7290 1.0406 34.5271
Ag 2.1870 3.1217 9.1540
Ag 2.1870 3.1217 12.2012
Ag 2.1870 3.1217 15.1808
Ag 2.1870 3.1217 18.1489
Ag 2.1870 3.1217 21.1046
Ag 2.1870 3.1217 24.0600
Ag 2.1870 3.1217 27.0191
Ag 2.1870 3.1217 29.9893
Ag 2.1870 3.1217 32.9463
```

***

Structure and theoretical powder diffractogram of GaAg17 (a structure optimized by DFT (PBE); Cu Kα X-rays).
Kinematic intensities with the Lorentz-polarization factor, no thermal factor.

Principal peaks in the range 2θ from 5° to 70°, sorted by position:
2θ/deg  Rel. int.
5.08  100
10.18  14
36.16  34
37.13  50
37.96  98
38.85  18
42.83  49
44.38  52
62.73  22
63.97  31

Atomic structure:
```
36
Lattice="5.8230 0.0000 0.0000 -2.9115 5.0429 0.0000 0.0000 0.0000 34.7732" Properties=species:S:1:pos:R:3 pbc="T T T"
Ga 0.0000 3.3619 9.7020
Ga 2.9115 1.6810 25.0712
Ag 0.0000 0.0000 0.0000
Ag 0.0000 0.0000 7.2594
Ag 0.0000 0.0000 27.5138
Ag -1.4558 2.5214 0.0000
Ag -1.4533 2.5228 7.2687
Ag 0.0000 1.6794 4.8451
Ag 0.0000 1.6803 25.0629
Ag 0.0000 1.6803 32.3527
Ag -1.4571 4.2032 4.8451
Ag -1.4563 4.2027 25.0629
Ag -1.4564 4.2027 32.3527
Ag 1.4551 0.8401 2.4205
Ag 1.4552 0.8402 9.7102
Ag 1.4544 0.8397 29.9281
Ag 0.0000 3.3619 2.4241
Ag 0.0000 3.3619 29.9290
Ag 2.9115 0.0000 0.0000
Ag 2.9115 0.0028 27.5044
Ag 1.4558 2.5214 0.0000
Ag 1.4533 2.5228 7.2687
Ag 1.4582 2.5200 27.5044
Ag 0.0000 5.0401 7.2687
Ag 2.9115 1.6810 4.8441
Ag 2.9115 1.6810 32.3491
Ag 1.4571 4.2032 4.8451
Ag 1.4563 4.2027 25.0629
Ag 1.4564 4.2027 32.3527
Ag 4.3679 0.8401 2.4205
Ag 4.3678 0.8402 9.7102
Ag 4.3686 0.8397 29.9281
Ag 2.9115 3.3626 2.4205
Ag 2.9115 3.3625 9.7102
Ag 2.9115 3.3635 29.9281
Ag 4.3648 2.5200 27.5044
```

***

Structure and theoretical powder diffractogram of GaAg17 (a structure optimized by DFT (PBE); Cu Kα X-rays).
Kinematic intensities with the Lorentz-polarization factor, no thermal factor.

Principal peaks in the range 2θ from 5° to 70°, sorted by position:
2θ/deg  Rel. int.
5.09  100
10.18  14
36.19  34
37.10  49
37.94  98
38.89  28
42.81  49
44.37  52
62.74  22
63.92  27

Atomic structure:
```
36
Lattice="5.0479 0.0000 0.0000 0.0000 5.8247 0.0000 -0.0113 0.0000 34.7515" Properties=species:S:1:pos:R:3 pbc="T T T"
Ga 0.8388 1.4562 7.6855
Ga 4.1979 4.3685 27.0660
Ag -0.0057 0.0000 17.3758
Ag -0.0020 0.0054 10.1090
Ag -0.0020 2.9069 10.1090
Ag -0.0057 2.9123 17.3758
Ag 5.0386 2.9178 24.6426
Ag 5.0386 5.8192 24.6426
Ag 0.8387 1.4562 14.9535
Ag 0.8366 1.4562 22.2199
Ag 0.8384 4.3685 7.6755
Ag 0.8364 4.3685 14.9533
Ag 0.8339 4.3685 22.2180
Ag 1.6791 5.8231 12.5320
Ag 1.6767 5.8239 19.7969
Ag 1.6791 2.9139 12.5320
Ag 1.6767 2.9130 19.7969
Ag 1.6737 2.9268 27.0754
Ag 1.6737 5.8102 27.0754
Ag 2.5140 1.4562 10.1147
Ag 2.5119 1.4562 24.6392
Ag 2.5183 1.4562 17.3758
Ag 2.5183 4.3685 17.3758
Ag 2.5248 4.3685 10.1124
Ag 2.5226 4.3685 24.6368
Ag 3.3599 0.0007 14.9547
Ag 3.3575 0.0015 22.2195
Ag 3.3629 0.0145 7.6761
Ag 3.3629 2.8978 7.6761
Ag 3.3599 2.9116 14.9547
Ag 3.3575 2.9108 22.2195
Ag 4.2027 1.4562 12.5335
Ag 4.2002 1.4562 19.7982
Ag 4.1983 1.4562 27.0760
Ag 4.2000 4.3685 12.5317
Ag 4.1979 4.3685 19.7980
```

***

Structure and theoretical powder diffractogram of GdTm2Ga3AgPd2 (a structure optimized by DFT (PBE); Cu Kα X-rays).
Kinematic intensities with the Lorentz-polarization factor, no thermal factor.

Principal peaks in the range 2θ from 5° to 70°, sorted by position:
2θ/deg  Rel. int.
27.36  15
34.06  100
36.43  24
36.83  92
41.46  15
41.62  30
44.19  14
49.50  21
66.61  15
67.54  21

Atomic structure:
```
9
Lattice="3.6826 0.0000 0.0000 0.0000 6.5338 3.7543 0.0000 -6.5338 3.7543" Properties=species:S:1:pos:R:3 pbc="T T T"
Gd 0.0000 0.0000 0.0000
Tm 0.0000 -2.6586 2.9245
Tm 0.0000 2.6586 2.9245
Ga 1.8413 0.0000 2.4243
Ga 1.8413 -1.7819 5.4609
Ga 1.8413 1.7819 5.4609
Ag 0.0000 0.0000 4.4308
Pd 1.8413 -4.3186 4.4577
Pd 1.8413 4.3186 4.4577
```

***

Structure and theoretical powder diffractogram of Gd2TmGa3AgPd2 (a structure optimized by DFT (PBE); Cu Kα X-rays).
Kinematic intensities with the Lorentz-polarization factor, no thermal factor.

Principal peaks in the range 2θ from 5° to 70°, sorted by position:
2θ/deg  Rel. int.
27.31  15
33.84  100
36.37  25
36.61  96
41.44  30
41.58  15
43.99  16
48.92  22
62.48  15
67.45  20

Atomic structure:
```
9
Lattice="3.7237 0.0000 0.0000 0.0000 6.5154 3.7783 0.0000 -6.5154 3.7783" Properties=species:S:1:pos:R:3 pbc="T T T"
Gd 0.0000 -3.8560 3.7783
Gd 0.0000 3.8560 3.7783
Tm 0.0000 0.0000 4.6251
Ga 1.8619 -1.7453 2.5726
Ga 1.8619 1.7453 2.5726
Ga 1.8619 0.0000 7.0518
Ag 0.0000 0.0000 1.5631
Pd 1.8619 -2.1326 5.3133
Pd 1.8619 2.1326 5.3133
```

***

Structure and theoretical powder diffractogram of Hf2InGaAg2 (a structure optimized by DFT (PBE); Cu Kα X-rays).
Kinematic intensities with the Lorentz-polarization factor, no thermal factor.

Principal peaks in the range 2θ from 5° to 70°, sorted by position:
2θ/deg  Rel. int.
24.20  33
28.01  22
40.03  100
47.33  16
49.57  6
57.90  17
63.68  6
65.53  8

Atomic structure:
```
24
Lattice="11.0332 0.0000 0.0000 0.0000 4.5050 0.0000 -3.6883 0.0000 10.4011" Properties=species:S:1:pos:R:3 pbc="T T T"
Hf 0.0000 0.0000 0.0000
Hf -0.0637 2.2525 3.8949
Hf -0.0805 0.0000 7.7364
Hf 3.6547 2.2525 1.3763
Hf 3.6647 0.0000 5.1999
Hf 3.6826 2.2525 9.0458
Hf 7.3115 0.0000 2.6516
Hf 7.2962 2.2525 6.4666
In -1.8892 2.2525 9.0944
In 1.8039 2.2525 6.4798
In 5.4912 0.0000 0.0115
In 9.1629 2.2525 1.3033
Ga 1.8178 0.0000 2.6003
Ga 5.4871 2.2525 3.9028
Ga 5.4745 0.0000 7.7808
Ga 9.1504 0.0000 5.1868
Ag 0.9304 2.2525 1.3548
Ag 0.8577 0.0000 5.1230
Ag 0.8764 2.2525 9.1018
Ag 4.5605 0.0000 2.6614
Ag 4.6068 2.2525 6.4713
Ag 4.5843 0.0000 10.3528
Ag 8.2195 2.2525 3.9388
Ag 8.1777 0.0000 7.7340
```

***

Structure and theoretical powder diffractogram of Pr3Mg3GaAgHg (a structure optimized by DFT (PBE); Cu Kα X-rays).
Kinematic intensities with the Lorentz-polarization factor, no thermal factor.

Principal peaks in the range 2θ from 5° to 70°, sorted by position:
2θ/deg  Rel. int.
13.23  23
23.01  32
30.51  75
33.38  100
35.48  24
40.13  25
40.42  26
40.93  27
53.39  22
64.07  22

Atomic structure:
```
9
Lattice="7.7303 0.0000 0.0000 -3.8651 6.6946 0.0000 0.0000 0.0000 4.4940" Properties=species:S:1:pos:R:3 pbc="T T T"
Pr -2.1857 4.9904 0.0000
Pr 0.6362 2.3066 0.0000
Pr 1.5495 6.0923 0.0000
Mg 2.9441 0.6207 2.2470
Mg 2.9306 3.8346 2.2470
Mg 5.7207 2.2393 2.2470
Ga 0.0000 4.4631 2.2470
Ag 3.8651 2.2315 0.0000
Hg 0.0000 0.0000 2.2470
```

***

Structure and theoretical powder diffractogram of Ho3Mg3InGaAg (a structure optimized by DFT (PBE); Cu Kα X-rays).
Kinematic intensities with the Lorentz-polarization factor, no thermal factor.

Principal peaks in the range 2θ from 5° to 70°, sorted by position:
2θ/deg  Rel. int.
20.24  21
23.82  27
27.57  30
31.45  72
34.44  100
36.75  24
41.15  24
41.88  19
42.31  21
55.31  25

Atomic structure:
```
9
Lattice="7.4718 0.0000 0.0000 -3.7359 6.4708 0.0000 0.0000 0.0000 4.3873" Properties=species:S:1:pos:R:3 pbc="T T T"
Ho -1.4854 2.7606 0.0000
Ho -0.6025 6.3769 0.0000
Ho 2.0879 3.8041 0.0000
Mg -2.8042 4.9157 2.1937
Mg 0.8808 1.5844 2.1937
Mg 1.9233 6.4414 2.1937
In 3.7359 2.1569 2.1937
Ga 0.0000 4.3138 2.1937
Ag 0.0000 0.0000 0.0000
```

***

Structure and theoretical powder diffractogram of HoLuGa2Ag2 (a structure optimized by DFT (PBE); Cu Kα X-rays).
Kinematic intensities with the Lorentz-polarization factor, no thermal factor.

Principal peaks in the range 2θ from 5° to 70°, sorted by position:
2θ/deg  Rel. int.
22.51  14
34.43  100
39.52  63
45.49  2
45.96  2
52.84  7
53.40  28
58.14  4
67.95  21
68.43  27

Atomic structure:
```
6
Lattice="4.5603 0.0000 0.0000 -2.2801 3.9493 0.0000 0.0000 0.0000 6.9308" Properties=species:S:1:pos:R:3 pbc="T T T"
Ho 0.0000 0.0000 0.0000
Lu 0.0000 0.0000 3.4654
Ga 0.0000 2.6329 1.9740
Ga 0.0000 2.6329 4.9568
Ag 2.2801 1.3164 1.6581
Ag 2.2801 1.3164 5.2727
```

***

Structure and theoretical powder diffractogram of Ho3Mg3TlGaAg (a structure optimized by DFT (PBE); Cu Kα X-rays).
Kinematic intensities with the Lorentz-polarization factor, no thermal factor.

Principal peaks in the range 2θ from 5° to 70°, sorted by position:
2θ/deg  Rel. int.
13.67  23
23.79  30
27.54  23
31.44  77
34.43  100
36.71  26
41.18  24
41.84  23
42.28  24
55.26  23

Atomic structure:
```
9
Lattice="7.4796 0.0000 0.0000 -3.7398 6.4775 0.0000 0.0000 0.0000 4.3839" Properties=species:S:1:pos:R:3 pbc="T T T"
Ho -0.6043 2.2554 0.0000
Ho -1.4844 5.8731 0.0000
Ho 2.0887 4.8265 0.0000
Mg 1.9283 2.1899 2.1919
Mg 4.6189 0.5750 2.1919
Mg 4.6722 3.7126 2.1919
Tl 0.0000 0.0000 2.1919
Ga 0.0000 4.3183 2.1919
Ag 3.7398 2.1592 0.0000
```

***

Structure and theoretical powder diffractogram of HoTmGa2Ag2 (a structure optimized by DFT (PBE); Cu Kα X-rays).
Kinematic intensities with the Lorentz-polarization factor, no thermal factor.

Principal peaks in the range 2θ from 5° to 70°, sorted by position:
2θ/deg  Rel. int.
22.46  14
34.35  100
39.43  64
45.37  2
45.85  2
52.70  8
53.27  28
57.98  4
67.76  21
68.25  27

Atomic structure:
```
6
Lattice="4.5709 0.0000 0.0000 -2.2855 3.9585 0.0000 0.0000 0.0000 6.9477" Properties=species:S:1:pos:R:3 pbc="T T T"
Ho 0.0000 0.0000 0.0000
Tm 0.0000 0.0000 3.4738
Ga 0.0000 2.6390 1.9779
Ga 0.0000 2.6390 4.9698
Ag 2.2855 1.3195 1.6609
Ag 2.2855 1.3195 5.2867
```

***

Question: What is the formula in the fifth record?
Answer: Gd2TmGa3AgPd2

***

Question: Which formula does entry 7 have?
Answer: Pr3Mg3GaAgHg